This entry pairs a crystal structure of CaMg2MnH8 with its calculated powder diffractogram. Radiation: Cu Kα, 1.54184 Å. Structure: a DFT-relaxed cell (GGA-PBE, Alexandria).
Intensities are scaled so that the largest is 100.

Peak list (8 most intense, 2θ from 10° to 90°, low angle first)
d 4.461, intensity 69
d 4.149, intensity 72
d 3.042, intensity 100
d 2.983, intensity 59
d 2.299, intensity 74
d 2.237, intensity 37
d 1.882, intensity 48
d 1.789, intensity 27

Structure:
Lattice parameters (Å, degrees): 4.7074 4.4735 5.6655 90.00 108.91 90.00
Element x y z (fractional)
Ca  0.0000  0.0000  0.0000
Mg  0.4341  0.5000  0.7255
Mg  0.5659  0.5000  0.2745
Mn  0.5000  0.0000  0.5000
H  0.2178  0.5000  0.9539
H  0.2413  0.2521  0.3896
H  0.2413  0.7479  0.3896
H  0.4523  0.0000  0.7782
H  0.5477  0.0000  0.2218
H  0.7587  0.2521  0.6104
H  0.7587  0.7479  0.6104
H  0.7822  0.5000  0.0461

This entry pairs a crystal structure of Ca2Mg5Si8H2O24 with its calculated powder diffractogram. Radiation: Cu Kα, 1.54184 Å. Structure: a DFT-relaxed cell (GGA-PBE, Alexandria).
Intensities are scaled so that the largest is 100.

Peak list (8 most intense, 2θ from 10° to 90°, low angle first)
d 8.555, intensity 70
d 3.429, intensity 53
d 3.321, intensity 38
d 3.179, intensity 61
d 2.988, intensity 37
d 2.741, intensity 100
d 2.562, intensity 55
d 2.367, intensity 33

Structure:
Lattice parameters (Å, degrees): 10.4044 10.4044 5.3396 96.89 96.89 122.54
Element x y z (fractional)
Ca  0.2218  0.7782  0.0000
Ca  0.7782  0.2218  0.0000
Mg  0.3228  0.6772  0.5000
Mg  0.4120  0.5880  0.0000
Mg  0.5000  0.5000  0.5000
Mg  0.5880  0.4120  0.0000
Mg  0.6772  0.3228  0.5000
Si  0.0419  0.3841  0.6983
Si  0.1385  0.3068  0.2064
Si  0.3068  0.1385  0.2064
Si  0.3841  0.0419  0.6983
Si  0.6159  0.9581  0.3017
Si  0.6932  0.8615  0.7936
Si  0.8615  0.6932  0.7936
Si  0.9581  0.6159  0.3017
H  0.2918  0.2918  0.7356
H  0.7082  0.7082  0.2644
O  0.0227  0.2898  0.4046
O  0.0399  0.2772  0.9152
O  0.1142  0.6202  0.2928
O  0.1665  0.1665  0.2109
O  0.2093  0.5538  0.7771
O  0.2772  0.0399  0.9152
O  0.2898  0.0227  0.4046
O  0.3032  0.4765  0.2836
O  0.3798  0.8858  0.7072
O  0.3919  0.3919  0.7857
O  0.4462  0.7907  0.2229
O  0.4765  0.3032  0.2836
O  0.5235  0.6968  0.7164
O  0.5538  0.2093  0.7771
O  0.6081  0.6081  0.2143
O  0.6202  0.1142  0.2928
O  0.6968  0.5235  0.7164
O  0.7102  0.9773  0.5954
O  0.7228  0.9601  0.0848
O  0.7907  0.4462  0.2229
O  0.8335  0.8335  0.7891
O  0.8858  0.3798  0.7072
O  0.9601  0.7228  0.0848
O  0.9773  0.7102  0.5954

This entry pairs a crystal structure of CaMgH6Pd2 with its calculated powder diffractogram. Radiation: Cu Kα, 1.54184 Å. Structure: a DFT-relaxed cell (GGA-PBE, Alexandria).
Intensities are scaled so that the largest is 100.

Peak list (8 most intense, 2θ from 10° to 90°, low angle first)
d 5.300, intensity 59
d 3.903, intensity 24
d 3.592, intensity 62
d 2.829, intensity 73
d 2.495, intensity 79
d 2.325, intensity 100
d 2.129, intensity 36
d 1.978, intensity 29

Structure:
Lattice parameters (Å, degrees): 5.9406 5.9406 5.9406 46.07 46.07 46.07
Element x y z (fractional)
Ca  0.0000  0.0000  0.0000
Mg  0.5000  0.5000  0.5000
H  0.0687  0.5622  0.5622
H  0.4378  0.4378  0.9313
H  0.4378  0.9313  0.4378
H  0.5622  0.0687  0.5622
H  0.5622  0.5622  0.0687
H  0.9313  0.4378  0.4378
Pd  0.2093  0.2093  0.2093
Pd  0.7907  0.7907  0.7907

This entry pairs a crystal structure of CaMgTcH2 with its calculated powder diffractogram. Radiation: Cu Kα, 1.54184 Å. Structure: a DFT-relaxed cell (GGA-PBE, Alexandria).
Intensities are scaled so that the largest is 100.

Peak list (8 most intense, 2θ from 10° to 90°, low angle first)
d 5.607, intensity 51
d 3.541, intensity 22
d 3.268, intensity 17
d 2.641, intensity 54
d 2.521, intensity 100
d 2.298, intensity 20
d 1.875, intensity 19
d 1.867, intensity 17

Structure:
Lattice parameters (Å, degrees): 11.8092 3.4168 3.7318 90.00 108.27 90.00
Element x y z (fractional)
Ca  0.0000  0.0000  0.0000
Ca  0.5000  0.5000  0.0000
Mg  0.2196  0.5000  0.6873
Mg  0.7196  0.0000  0.6873
Tc  0.3257  0.0000  0.2919
Tc  0.8257  0.5000  0.2919
H  0.1872  0.0000  0.9663
H  0.3832  0.5000  0.3862
H  0.6872  0.5000  0.9663
H  0.8832  0.0000  0.3862

This entry pairs a crystal structure of CaMgTcH2 with its calculated powder diffractogram. Radiation: Cu Kα, 1.54184 Å. Structure: a DFT-relaxed cell (GGA-PBE, Alexandria).
Intensities are scaled so that the largest is 100.

Peak list (8 most intense, 2θ from 10° to 90°, low angle first)
d 5.375, intensity 65
d 4.791, intensity 100
d 2.688, intensity 45
d 2.613, intensity 41
d 2.536, intensity 19
d 2.395, intensity 32
d 2.310, intensity 75
d 2.277, intensity 55

Structure:
Lattice parameters (Å, degrees): 4.7938 2.9897 5.3786 90.00 92.02 90.00
Element x y z (fractional)
Ca  0.0000  0.0000  0.0000
Mg  0.5000  0.0000  0.5000
Tc  0.0000  0.5000  0.5000
H  0.2498  0.5000  0.7559
H  0.7502  0.5000  0.2441

This entry pairs a crystal structure of Ca2MgTcH6 with its calculated powder diffractogram. Radiation: Cu Kα, 1.54184 Å. Structure: a DFT-relaxed cell (GGA-PBE, Alexandria).
Intensities are scaled so that the largest is 100.

Peak list (8 most intense, 2θ from 10° to 90°, low angle first)
d 5.322, intensity 72
d 4.485, intensity 72
d 3.430, intensity 67
d 2.590, intensity 100
d 2.329, intensity 45
d 2.289, intensity 81
d 1.715, intensity 34
d 1.430, intensity 34

Structure:
Lattice parameters (Å, degrees): 5.1792 5.1792 5.3225 90.00 90.00 120.00
Element x y z (fractional)
Ca  0.3333  0.6667  0.3330
Ca  0.6667  0.3333  0.6670
Mg  0.0000  0.0000  0.0000
Tc  0.0000  0.0000  0.5000
H  0.1618  0.3236  0.6967
H  0.1618  0.8382  0.6967
H  0.3236  0.1618  0.3033
H  0.6764  0.8382  0.6967
H  0.8382  0.1618  0.3033
H  0.8382  0.6764  0.3033

This entry pairs a crystal structure of Ca5MnH2N4 with its calculated powder diffractogram. Radiation: Cu Kα, 1.54184 Å. Structure: a DFT-relaxed cell (GGA-PBE, Alexandria).
Intensities are scaled so that the largest is 100.

Peak list (8 most intense, 2θ from 10° to 90°, low angle first)
d 6.892, intensity 39
d 2.879, intensity 41
d 2.818, intensity 89
d 2.770, intensity 40
d 2.732, intensity 100
d 1.996, intensity 55
d 1.632, intensity 18
d 1.576, intensity 24

Structure:
Lattice parameters (Å, degrees): 6.8921 5.4739 5.4739 116.54 90.00 90.00
Element x y z (fractional)
Ca  0.0000  0.0000  0.0000
Ca  0.2745  0.3130  0.6736
Ca  0.2745  0.6736  0.3130
Ca  0.7255  0.3130  0.6736
Ca  0.7255  0.6736  0.3130
Mn  0.5000  0.0043  0.0043
H  0.0000  0.5584  0.9953
H  0.0000  0.9953  0.5584
N  0.2886  0.1953  0.1953
N  0.5000  0.6562  0.9704
N  0.5000  0.9704  0.6562
N  0.7114  0.1953  0.1953